The following is a simulated PXRD pattern of LuInCu2. It was derived from a structure optimized by DFT (PBE), using λ = 1.5418 Å (Cu Kα).
No peak broadening, texture or thermal motion is included.

Main lines, in order of rising 2θ (15° ≤ 2θ ≤ 90°):
(hkl), Position (°2θ), I/Imax
2 0 0, 27.2, 15.8
2 2 0, 38.9, 100.0
4 0 0, 56.2, 16.7
4 2 0, 63.5, 6.4
4 2 2, 70.4, 33.1
4 4 0, 83.5, 10.4

Structure:
```
data_LuInCu2
_chemical_formula_sum 'Lu4 In4 Cu8'
_cell_length_a 6.5504
_cell_length_b 6.5504
_cell_length_c 6.5504
_cell_angle_alpha 90.00
_cell_angle_beta 90.00
_cell_angle_gamma 90.00
_space_group_name_H-M_alt 'P 1'
_space_group_IT_number 1
_space_group_name_Hall 'P 1'
loop_
_atom_site_label
_atom_site_fract_x
_atom_site_fract_y
_atom_site_fract_z
Lu1 0.0000 0.0000 0.0000
Lu2 0.0000 0.5000 0.5000
Lu3 0.5000 0.0000 0.5000
Lu4 0.5000 0.5000 0.0000
In1 0.0000 0.0000 0.5000
In2 0.0000 0.5000 0.0000
In3 0.5000 0.0000 0.0000
In4 0.5000 0.5000 0.5000
Cu1 0.2500 0.2500 0.2500
Cu2 0.2500 0.2500 0.7500
Cu3 0.2500 0.7500 0.2500
Cu4 0.2500 0.7500 0.7500
Cu5 0.7500 0.2500 0.2500
Cu6 0.7500 0.2500 0.7500
Cu7 0.7500 0.7500 0.2500
Cu8 0.7500 0.7500 0.7500
```